Na2TiO3: simulated X-ray powder pattern (λ = 1.5418 Å (Cu Kα)), based on a cell relaxed with PBE.
No peak broadening, texture or thermal motion is included.

Structural model:
```
12
Lattice="3.028 0.000 0.000 0.000 4.253 0.000 0.000 0.000 10.252" Properties=species:S:1:pos:R:3 pbc="T T T"
Na 0.000 0.000 1.787
Na 0.000 0.000 8.465
Na 1.514 2.126 3.339
Na 1.514 2.126 6.913
Ti 0.000 0.000 5.126
Ti 1.514 2.126 0.000
O 0.000 2.126 1.312
O 0.000 2.126 5.126
O 0.000 2.126 8.940
O 1.514 0.000 0.000
O 1.514 0.000 3.814
O 1.514 0.000 6.438
```

Largest 12 diffraction maxima, in order of rising 2θ, 2θ from 10° to 90°:
2theta	intensity
17.30	33
22.64	27
33.64	26
36.42	15
39.77	100
42.51	46
51.41	10
53.64	13
59.62	50
61.21	13
66.58	13
77.37	11